Entry 1:
For LiP4N7, a crystal structure in Alexandria, relaxed with PBE gives the simulated powder X-ray diffraction pattern in this record (copper Kα).

Structural model:
```
LiP4N7
1.0
12.1124 0.0000 0.0000
0.0000 4.9482 0.0000
0.0000 0.0000 4.6812
Li P N
2 8 14
Direct
0.0000 0.1628 0.0000
0.5000 0.8372 0.5000
0.1187 0.6673 0.2369
0.2503 0.1766 0.2074
0.2497 0.8234 0.7074
0.3813 0.3327 0.7369
0.6187 0.3327 0.7369
0.7497 0.1766 0.2074
0.7503 0.8234 0.7074
0.8813 0.6673 0.2369
0.0000 0.7637 0.1255
0.1371 0.7365 0.5671
0.1404 0.3534 0.1562
0.2166 0.8692 0.0636
0.2834 0.1308 0.5636
0.3596 0.6466 0.6562
0.3629 0.2635 0.0671
0.5000 0.2363 0.6255
0.6371 0.2635 0.0671
0.6404 0.6466 0.6562
0.7166 0.1308 0.5636
0.7834 0.8692 0.0636
0.8596 0.3534 0.1562
0.8629 0.7365 0.5671
```

Peak list (10 most intense, 10 to 80 degrees two-theta, low angle first)
| Position (°2θ) | d (Å) | Rel. int. |
| --- | --- | --- |
| 14.6 | 6.056 | 100 |
| 19.4 | 4.581 | 62 |
| 20.3 | 4.366 | 74 |
| 23.2 | 3.832 | 18 |
| 30.1 | 2.965 | 48 |
| 34.7 | 2.583 | 30 |
| 36.3 | 2.474 | 23 |
| 38.5 | 2.341 | 27 |
| 39.9 | 2.261 | 25 |
| 41.3 | 2.186 | 17 |


Entry 2:
For Li2PuPN, a crystal structure in Alexandria, relaxed with PBE gives the simulated powder X-ray diffraction pattern in this record (copper Kα).

Structural model:
```
Li2PuPN
1.0
-2.8763 2.8763 4.3689
2.8763 -2.8763 4.3689
2.8763 2.8763 -4.3689
Li Pu P N
4 2 2 2
Direct
0.1715 0.6715 0.8430
0.3285 0.1715 0.5000
0.6715 0.8285 0.5000
0.8285 0.3285 0.1570
0.2500 0.2500 0.0000
0.7500 0.7500 0.0000
0.2500 0.7500 0.5000
0.7500 0.2500 0.5000
0.0000 0.0000 0.0000
0.5000 0.5000 0.0000
```

Peak list (10 most intense, 10 to 80 degrees two-theta, low angle first)
| Position (°2θ) | d (Å) | Rel. int. |
| --- | --- | --- |
| 20.3 | 4.369 | 75 |
| 21.8 | 4.068 | 100 |
| 30.0 | 2.977 | 73 |
| 31.1 | 2.876 | 69 |
| 37.4 | 2.402 | 75 |
| 44.5 | 2.034 | 27 |
| 47.2 | 1.925 | 28 |
| 49.4 | 1.844 | 32 |
| 52.6 | 1.740 | 32 |
| 54.7 | 1.679 | 28 |


Entry 3:
For Li2SmPN, a crystal structure in Alexandria, relaxed with PBE gives the simulated powder X-ray diffraction pattern in this record (copper Kα).

Structural model:
```
Li2SmPN
1.0
-2.9183 2.9183 4.6880
2.9183 -2.9183 4.6880
2.9183 2.9183 -4.6880
Li Sm P N
4 2 2 2
Direct
0.1836 0.6836 0.8671
0.3164 0.1836 0.5000
0.6836 0.8164 0.5000
0.8164 0.3164 0.1329
0.2500 0.2500 0.0000
0.7500 0.7500 0.0000
0.2500 0.7500 0.5000
0.7500 0.2500 0.5000
0.0000 0.0000 0.0000
0.5000 0.5000 0.0000
```

Peak list (10 most intense, 10 to 80 degrees two-theta, low angle first)
| Position (°2θ) | d (Å) | Rel. int. |
| --- | --- | --- |
| 18.9 | 4.688 | 97 |
| 21.5 | 4.127 | 100 |
| 28.8 | 3.098 | 63 |
| 30.6 | 2.918 | 87 |
| 36.3 | 2.478 | 94 |
| 43.9 | 2.064 | 35 |
| 44.4 | 2.038 | 30 |
| 48.2 | 1.889 | 37 |
| 49.9 | 1.828 | 42 |
| 59.7 | 1.549 | 27 |


Entry 4:
For LiTiPN3, a crystal structure in Alexandria, relaxed with PBE gives the simulated powder X-ray diffraction pattern in this record (copper Kα).

Structural model:
```
LiTiPN3
1.0
5.5937 0.0000 0.0000
0.0000 2.9562 0.0000
-0.2388 0.0000 9.0449
Li Ti P N
2 2 2 6
Direct
0.1291 0.2500 0.1482
0.8709 0.7500 0.8518
0.3865 0.7500 0.8861
0.6135 0.2500 0.1139
0.1178 0.2500 0.5932
0.8822 0.7500 0.4068
0.1606 0.2500 0.7631
0.1732 0.7500 0.4968
0.3785 0.7500 0.1051
0.6215 0.2500 0.8949
0.8268 0.2500 0.5032
0.8394 0.7500 0.2369
```

Peak list (10 most intense, 10 to 80 degrees two-theta, low angle first)
| Position (°2θ) | d (Å) | Rel. int. |
| --- | --- | --- |
| 18.4 | 4.813 | 100 |
| 29.6 | 3.015 | 8 |
| 35.9 | 2.503 | 17 |
| 36.3 | 2.474 | 16 |
| 37.4 | 2.407 | 7 |
| 38.3 | 2.351 | 6 |
| 44.6 | 2.031 | 18 |
| 45.6 | 1.987 | 9 |
| 62.0 | 1.497 | 7 |
| 62.9 | 1.478 | 7 |


Entry 5:
For LiPuPaN3, a crystal structure in Alexandria, relaxed with PBE gives the simulated powder X-ray diffraction pattern in this record (copper Kα).

Structural model:
```
LiPuPaN3
1.0
6.8193 0.0000 0.0000
0.0000 3.4134 0.0000
-1.3306 0.0000 7.1522
Li Pu Pa N
2 2 2 6
Direct
0.0811 0.2500 0.0727
0.9189 0.7500 0.9273
0.2875 0.7500 0.8265
0.7125 0.2500 0.1735
0.3032 0.7500 0.3420
0.6968 0.2500 0.6580
0.0157 0.2500 0.8024
0.3546 0.2500 0.5703
0.3662 0.2500 0.1341
0.6338 0.7500 0.8659
0.6454 0.7500 0.4297
0.9843 0.7500 0.1976
```

Peak list (10 most intense, 10 to 80 degrees two-theta, low angle first)
| Position (°2θ) | d (Å) | Rel. int. |
| --- | --- | --- |
| 13.2 | 6.704 | 30 |
| 26.0 | 3.426 | 38 |
| 26.6 | 3.352 | 52 |
| 29.4 | 3.042 | 100 |
| 30.4 | 2.940 | 45 |
| 33.1 | 2.705 | 30 |
| 36.4 | 2.469 | 58 |
| 37.2 | 2.418 | 40 |
| 48.5 | 1.878 | 33 |
| 51.6 | 1.772 | 27 |


Entry 6:
For Li2PaRuN4, a crystal structure in Alexandria, relaxed with PBE gives the simulated powder X-ray diffraction pattern in this record (copper Kα).

Structural model:
```
Li2PaRuN4
1.0
1.6815 -5.7678 0.0000
1.6815 5.7678 0.0000
0.0000 0.0000 9.4370
Li Pa Ru N
4 2 2 8
Direct
0.0966 0.9034 0.5393
0.0966 0.9034 0.9607
0.9034 0.0966 0.0393
0.9034 0.0966 0.4607
0.4295 0.5705 0.7500
0.5705 0.4295 0.2500
0.3078 0.6922 0.2500
0.6922 0.3078 0.7500
0.0976 0.9024 0.7500
0.1872 0.8128 0.1225
0.1872 0.8128 0.3775
0.5000 0.5000 0.0000
0.5000 0.5000 0.5000
0.8128 0.1872 0.6225
0.8128 0.1872 0.8775
0.9024 0.0976 0.2500
```

Peak list (10 most intense, 10 to 80 degrees two-theta, low angle first)
| Position (°2θ) | d (Å) | Rel. int. |
| --- | --- | --- |
| 18.0 | 4.921 | 22 |
| 18.8 | 4.718 | 100 |
| 27.6 | 3.229 | 39 |
| 32.5 | 2.758 | 48 |
| 33.6 | 2.665 | 47 |
| 36.8 | 2.445 | 62 |
| 38.1 | 2.359 | 19 |
| 42.5 | 2.126 | 28 |
| 46.0 | 1.972 | 28 |
| 47.7 | 1.905 | 22 |


Entry 7:
For Li4Pa3SiN8, a crystal structure in Alexandria, relaxed with PBE gives the simulated powder X-ray diffraction pattern in this record (copper Kα).

Structural model:
```
Li4Pa3SiN8
1.0
5.8467 -3.2356 0.0000
5.8467 3.2356 0.0000
-2.8723 0.0000 5.5151
Li Pa Si N
4 3 1 8
Direct
0.0000 0.0000 0.0000
0.0000 0.5000 0.5000
0.5000 0.0000 0.5000
0.5000 0.5000 0.0000
0.0000 0.0000 0.5000
0.0000 0.5000 0.0000
0.5000 0.0000 0.0000
0.5000 0.5000 0.5000
0.2072 0.2072 0.1912
0.2191 0.2191 0.7224
0.2689 0.6788 0.2724
0.3212 0.7311 0.7276
0.6788 0.2689 0.2724
0.7311 0.3212 0.7276
0.7809 0.7809 0.2776
0.7928 0.7928 0.8088
```

Peak list (10 most intense, 10 to 80 degrees two-theta, low angle first)
| Position (°2θ) | d (Å) | Rel. int. |
| --- | --- | --- |
| 16.1 | 5.498 | 25 |
| 17.2 | 5.146 | 100 |
| 28.6 | 3.125 | 27 |
| 32.1 | 2.791 | 40 |
| 32.5 | 2.758 | 17 |
| 32.6 | 2.745 | 38 |
| 34.6 | 2.593 | 23 |
| 34.9 | 2.573 | 15 |
| 40.3 | 2.238 | 32 |
| 41.6 | 2.169 | 19 |


Entry 8:
For Li4Pa3SnN8, a crystal structure in Alexandria, relaxed with PBE gives the simulated powder X-ray diffraction pattern in this record (copper Kα).

Structural model:
```
Li4Pa3SnN8
1.0
3.4541 1.9943 5.1382
-3.4541 1.9943 5.1382
0.0000 -3.9885 5.1382
Li Pa Sn N
4 3 1 8
Direct
0.0000 0.0000 0.0000
0.0000 0.5000 0.5000
0.5000 0.0000 0.5000
0.5000 0.5000 0.0000
0.0000 0.0000 0.5000
0.0000 0.5000 0.0000
0.5000 0.0000 0.0000
0.5000 0.5000 0.5000
0.2359 0.2359 0.2359
0.2394 0.7416 0.7416
0.2584 0.2584 0.7606
0.2584 0.7606 0.2584
0.7416 0.2394 0.7416
0.7416 0.7416 0.2394
0.7606 0.2584 0.2584
0.7641 0.7641 0.7641
```

Peak list (10 most intense, 10 to 80 degrees two-theta, low angle first)
| Position (°2θ) | d (Å) | Rel. int. |
| --- | --- | --- |
| 17.3 | 5.138 | 100 |
| 30.4 | 2.937 | 72 |
| 32.1 | 2.789 | 53 |
| 38.1 | 2.363 | 57 |
| 42.1 | 2.147 | 28 |
| 51.5 | 1.773 | 19 |
| 53.0 | 1.727 | 22 |
| 56.2 | 1.637 | 28 |
| 56.8 | 1.620 | 18 |
| 65.1 | 1.433 | 16 |


Entry 9:
For Sr4LiPa3N8, a crystal structure in Alexandria, relaxed with PBE gives the simulated powder X-ray diffraction pattern in this record (copper Kα).

Structural model:
```
Sr4LiPa3N8
1.0
3.6035 2.0805 5.9517
-3.6035 2.0805 5.9517
0.0000 -4.1610 5.9517
Sr Li Pa N
4 1 3 8
Direct
0.0000 0.0000 0.0000
0.0000 0.5000 0.5000
0.5000 0.0000 0.5000
0.5000 0.5000 0.0000
0.5000 0.5000 0.5000
0.0000 0.0000 0.5000
0.0000 0.5000 0.0000
0.5000 0.0000 0.0000
0.1997 0.7503 0.7503
0.2364 0.2364 0.2364
0.2497 0.2497 0.8003
0.2497 0.8003 0.2497
0.7503 0.1997 0.7503
0.7503 0.7503 0.1997
0.7636 0.7636 0.7636
0.8003 0.2497 0.2497
```

Peak list (10 most intense, 10 to 80 degrees two-theta, low angle first)
| Position (°2θ) | d (Å) | Rel. int. |
| --- | --- | --- |
| 14.9 | 5.952 | 26 |
| 15.0 | 5.892 | 32 |
| 17.3 | 5.115 | 21 |
| 29.0 | 3.078 | 25 |
| 30.0 | 2.976 | 35 |
| 30.3 | 2.946 | 98 |
| 35.1 | 2.558 | 100 |
| 50.3 | 1.815 | 34 |
| 50.7 | 1.802 | 35 |
| 60.0 | 1.541 | 32 |


Entry 10:
For Li2PaTiN4, a crystal structure in Alexandria, relaxed with PBE gives the simulated powder X-ray diffraction pattern in this record (copper Kα).

Structural model:
```
Li2PaTiN4
1.0
1.7136 -6.0858 0.0000
1.7136 6.0858 0.0000
0.0000 0.0000 9.1008
Li Pa Ti N
4 2 2 8
Direct
0.0882 0.9118 0.5392
0.0882 0.9118 0.9608
0.9118 0.0882 0.0392
0.9118 0.0882 0.4608
0.4330 0.5670 0.7500
0.5670 0.4330 0.2500
0.3012 0.6988 0.2500
0.6988 0.3012 0.7500
0.1121 0.8879 0.7500
0.1724 0.8276 0.1327
0.1724 0.8276 0.3673
0.5000 0.5000 0.0000
0.5000 0.5000 0.5000
0.8276 0.1724 0.6327
0.8276 0.1724 0.8673
0.8879 0.1121 0.2500
```

Peak list (10 most intense, 10 to 80 degrees two-theta, low angle first)
| Position (°2θ) | d (Å) | Rel. int. |
| --- | --- | --- |
| 14.6 | 6.086 | 35 |
| 17.5 | 5.059 | 68 |
| 19.5 | 4.550 | 100 |
| 27.0 | 3.299 | 52 |
| 31.0 | 2.886 | 54 |
| 33.6 | 2.671 | 60 |
| 35.7 | 2.516 | 83 |
| 42.1 | 2.148 | 32 |
| 45.8 | 1.982 | 38 |
| 48.6 | 1.873 | 28 |


Entry 11:
For LiPa2TiN4, a crystal structure in Alexandria, relaxed with PBE gives the simulated powder X-ray diffraction pattern in this record (copper Kα).

Structural model:
```
LiPa2TiN4
1.0
5.4461 0.0000 0.0000
0.0000 3.4295 0.0000
-2.1757 0.0000 5.5517
Li Pa Ti N
1 2 1 4
Direct
0.0000 0.0000 0.0000
0.5000 0.0000 0.5000
0.5000 0.5000 0.0000
0.0000 0.5000 0.5000
0.2390 0.0000 0.7422
0.2571 0.5000 0.2646
0.7429 0.5000 0.7354
0.7610 0.0000 0.2578
```

Peak list (10 most intense, 10 to 80 degrees two-theta, low angle first)
| Position (°2θ) | d (Å) | Rel. int. |
| --- | --- | --- |
| 17.5 | 5.071 | 100 |
| 30.6 | 2.920 | 80 |
| 32.3 | 2.771 | 89 |
| 35.4 | 2.535 | 24 |
| 38.4 | 2.344 | 86 |
| 42.5 | 2.127 | 34 |
| 52.1 | 1.755 | 19 |
| 53.3 | 1.720 | 22 |
| 56.5 | 1.629 | 20 |
| 57.5 | 1.602 | 26 |


Entry 12:
For Li2UPaN4, a crystal structure in Alexandria, relaxed with PBE gives the simulated powder X-ray diffraction pattern in this record (copper Kα).

Structural model:
```
Li2UPaN4
1.0
4.4068 0.0000 0.0000
0.0000 4.4068 0.0000
0.0000 0.0000 11.2822
Li U Pa N
4 2 2 8
Direct
0.0000 0.0000 0.0000
0.0000 0.5000 0.2500
0.5000 0.0000 0.7500
0.5000 0.5000 0.5000
0.0000 0.0000 0.5000
0.5000 0.5000 0.0000
0.0000 0.5000 0.7500
0.5000 0.0000 0.2500
0.0000 0.0000 0.2969
0.0000 0.0000 0.7031
0.0000 0.5000 0.5401
0.0000 0.5000 0.9599
0.5000 0.0000 0.0401
0.5000 0.0000 0.4599
0.5000 0.5000 0.2031
0.5000 0.5000 0.7969
```

Peak list (10 most intense, 10 to 80 degrees two-theta, low angle first)
| Position (°2θ) | d (Å) | Rel. int. |
| --- | --- | --- |
| 21.7 | 4.105 | 100 |
| 31.3 | 2.861 | 31 |
| 31.7 | 2.821 | 22 |
| 32.8 | 2.728 | 59 |
| 41.0 | 2.203 | 25 |
| 45.1 | 2.008 | 17 |
| 46.8 | 1.941 | 27 |
| 52.4 | 1.746 | 16 |
| 52.7 | 1.736 | 22 |
| 57.2 | 1.610 | 16 |


Entry 13:
For Li2Pa2VN6, a crystal structure in Alexandria, relaxed with PBE gives the simulated powder X-ray diffraction pattern in this record (copper Kα).

Structural model:
```
Li2Pa2VN6
1.0
2.8866 -5.0471 0.0000
2.8866 5.0471 0.0000
-1.1921 0.0000 5.0366
Li Pa V N
2 2 1 6
Direct
0.1263 0.8737 0.0000
0.8737 0.1263 0.0000
0.3375 0.6625 0.5000
0.6625 0.3375 0.5000
0.0000 0.0000 0.5000
0.0369 0.3521 0.6980
0.2420 0.2420 0.2899
0.3521 0.0369 0.6980
0.6479 0.9631 0.3020
0.7580 0.7580 0.7101
0.9631 0.6479 0.3020
```

Peak list (10 most intense, 10 to 80 degrees two-theta, low angle first)
| Position (°2θ) | d (Å) | Rel. int. |
| --- | --- | --- |
| 17.6 | 5.037 | 100 |
| 18.1 | 4.909 | 16 |
| 22.6 | 3.933 | 13 |
| 31.0 | 2.887 | 40 |
| 31.9 | 2.809 | 16 |
| 32.7 | 2.736 | 19 |
| 33.9 | 2.643 | 25 |
| 35.6 | 2.519 | 15 |
| 37.7 | 2.386 | 35 |
| 44.9 | 2.020 | 14 |